This entry pairs a crystal structure of AcTb4Pm7 with its calculated powder X-ray diffraction pattern. Radiation: λ = 1.5418 Å (Cu Kα). Structure: a structure optimized by DFT (GGA-PBE).

Atomic structure:
```
AcTb4Pm7
1.0
6.371 0.000 0.000
-0.001 7.357 0.000
-2.141 -0.009 8.825
Ac Tb Pm
1 4 7
Direct
0.000 0.000 0.000
0.218 0.500 0.665
0.280 0.256 0.336
0.720 0.744 0.664
0.782 0.500 0.335
0.000 0.500 0.000
0.225 0.000 0.662
0.282 0.746 0.337
0.500 0.255 0.001
0.500 0.745 0.999
0.718 0.254 0.663
0.775 0.000 0.338
```

Largest 12 diffraction maxima, low angle first, 5° ≤ 2θ ≤ 70°:
Position (°2θ)	I/Imax
28.2	40
28.8	11
30.4	51
31.2	100
32.8	92
39.2	10
49.6	39
53.4	14
56.6	14
59.2	38
59.7	16
60.7	16

---

This entry pairs a crystal structure of AcTb2PmTm with its calculated powder X-ray diffraction pattern. Radiation: λ = 1.5418 Å (Cu Kα). Structure: a structure optimized by DFT (GGA-PBE).

Atomic structure:
```
AcTb2PmTm
1.0
3.235 -8.805 0.000
3.235 8.805 0.000
0.000 0.000 6.470
Ac Tb Pm Tm
2 4 2 2
Direct
0.159 0.841 0.750
0.841 0.159 0.250
0.252 0.252 0.000
0.252 0.252 0.500
0.748 0.748 0.000
0.748 0.748 0.500
0.347 0.653 0.750
0.653 0.347 0.250
0.249 0.751 0.250
0.751 0.249 0.750
```

Largest 12 diffraction maxima, low angle first, 5° ≤ 2θ ≤ 70°:
Position (°2θ)	I/Imax
24.7	22
29.4	100
30.5	14
32.1	56
34.4	28
39.4	42
41.0	21
51.7	30
56.9	15
58.1	19
59.8	23
65.4	21

---

This entry pairs a crystal structure of AcTb4Pm2Tm with its calculated powder X-ray diffraction pattern. Radiation: λ = 1.5418 Å (Cu Kα). Structure: a structure optimized by DFT (GGA-PBE).

Atomic structure:
```
AcTb4Pm2Tm
1.0
5.971 0.000 0.000
0.000 5.971 0.000
0.000 0.000 7.596
Ac Tb Pm Tm
1 4 2 1
Direct
0.000 0.000 0.000
0.000 0.500 0.263
0.000 0.500 0.737
0.500 0.000 0.263
0.500 0.000 0.737
0.000 0.000 0.500
0.500 0.500 0.000
0.500 0.500 0.500
```

Largest 12 diffraction maxima, low angle first, 5° ≤ 2θ ≤ 70°:
Position (°2θ)	I/Imax
18.9	2
24.1	1
29.9	59
31.7	100
35.6	1
42.8	22
47.1	1
47.9	8
54.3	44
57.5	18
62.2	7
66.2	12

---

This entry pairs a crystal structure of AcTb6PmTm2 with its calculated powder X-ray diffraction pattern. Radiation: λ = 1.5418 Å (Cu Kα). Structure: a structure optimized by DFT (GGA-PBE).

Atomic structure:
```
AcTb6PmTm2
1.0
4.644 -7.591 0.000
4.644 7.591 0.000
-0.853 0.000 9.537
Ac Tb Pm Tm
2 12 2 4
Direct
0.033 0.967 0.750
0.967 0.033 0.250
0.014 0.552 0.678
0.120 0.752 0.057
0.248 0.880 0.443
0.291 0.514 0.883
0.448 0.986 0.822
0.486 0.709 0.617
0.514 0.291 0.383
0.552 0.014 0.178
0.709 0.486 0.117
0.752 0.120 0.557
0.880 0.248 0.943
0.986 0.448 0.322
0.411 0.589 0.250
0.589 0.411 0.750
0.201 0.312 0.549
0.312 0.201 0.049
0.688 0.799 0.951
0.799 0.688 0.451
```

Largest 12 diffraction maxima, low angle first, 5° ≤ 2θ ≤ 70°:
Position (°2θ)	I/Imax
28.0	39
28.2	18
30.2	43
30.5	100
31.0	31
31.4	30
32.2	23
34.0	31
34.9	11
52.5	10
58.3	10
59.3	9

---

This entry pairs a crystal structure of Ac2TbPm2Y with its calculated powder X-ray diffraction pattern. Radiation: λ = 1.5418 Å (Cu Kα). Structure: a structure optimized by DFT (GGA-PBE).

Atomic structure:
```
Ac2TbPm2Y
1.0
7.352 0.000 0.000
0.000 5.904 0.000
0.000 0.000 10.175
Ac Tb Pm Y
4 2 4 2
Direct
0.000 0.000 0.000
0.250 0.500 0.176
0.500 0.000 0.000
0.750 0.500 0.824
0.250 0.000 0.662
0.750 0.000 0.338
0.250 0.000 0.346
0.250 0.500 0.825
0.750 0.000 0.654
0.750 0.500 0.175
0.000 0.500 0.500
0.500 0.500 0.500
```

Largest 12 diffraction maxima, low angle first, 5° ≤ 2θ ≤ 70°:
Position (°2θ)	I/Imax
8.7	10
30.0	100
30.3	38
30.4	73
39.2	15
43.1	25
43.3	12
49.6	11
53.6	13
53.7	26
53.9	15
59.3	34

---

This entry pairs a crystal structure of Ac2Tb2PmY6 with its calculated powder X-ray diffraction pattern. Radiation: λ = 1.5418 Å (Cu Kα). Structure: a structure optimized by DFT (GGA-PBE).

Atomic structure:
```
Ac2Tb2PmY6
1.0
2.862 -8.337 0.000
2.862 8.337 0.000
0.000 0.000 8.208
Ac Tb Pm Y
2 2 1 6
Direct
0.171 0.829 0.000
0.829 0.171 0.000
0.190 0.810 0.500
0.810 0.190 0.500
0.500 0.500 0.000
0.000 0.000 0.291
0.000 0.000 0.709
0.369 0.631 0.292
0.369 0.631 0.708
0.631 0.369 0.292
0.631 0.369 0.708
```

Largest 12 diffraction maxima, low angle first, 5° ≤ 2θ ≤ 70°:
Position (°2θ)	I/Imax
22.3	8
24.2	9
24.8	15
31.0	15
31.3	100
32.2	12
44.1	6
45.5	10
55.1	7
55.6	19
59.3	6
65.2	8

---

This entry pairs a crystal structure of AcTb3PmY with its calculated powder X-ray diffraction pattern. Radiation: λ = 1.5418 Å (Cu Kα). Structure: a structure optimized by DFT (GGA-PBE).

Atomic structure:
```
AcTb3PmY
1.0
10.058 -2.520 0.000
10.058 2.520 0.000
-0.055 0.000 8.518
Ac Tb Pm Y
2 6 2 2
Direct
0.100 0.100 0.058
0.900 0.900 0.942
0.047 0.047 0.654
0.266 0.266 0.849
0.345 0.345 0.251
0.655 0.655 0.749
0.734 0.734 0.151
0.953 0.953 0.346
0.429 0.429 0.627
0.571 0.571 0.373
0.192 0.192 0.454
0.808 0.808 0.546
```

Largest 12 diffraction maxima, low angle first, 5° ≤ 2θ ≤ 70°:
Position (°2θ)	I/Imax
30.2	100
30.6	95
32.7	38
35.6	38
37.4	25
49.1	24
52.6	19
56.7	14
57.3	16
60.7	14
60.9	15
62.9	19

---

This entry pairs a crystal structure of Ac4PmTe7 with its calculated powder X-ray diffraction pattern. Radiation: λ = 1.5418 Å (Cu Kα). Structure: a structure optimized by DFT (GGA-PBE).

Atomic structure:
```
Ac4PmTe7
1.0
7.731 -2.288 0.000
7.731 2.288 0.000
-3.557 0.000 13.232
Ac Pm Te
4 1 7
Direct
0.000 0.000 0.000
0.203 0.203 0.772
0.600 0.600 0.379
0.899 0.899 0.559
0.773 0.773 0.139
0.162 0.162 0.219
0.237 0.237 0.522
0.362 0.362 0.042
0.561 0.561 0.620
0.627 0.627 0.923
0.858 0.858 0.780
0.934 0.934 0.333
```

Largest 12 diffraction maxima, low angle first, 5° ≤ 2θ ≤ 70°:
Position (°2θ)	I/Imax
20.1	58
20.6	49
26.1	57
26.5	100
27.5	85
28.5	63
30.4	55
32.7	34
35.2	63
38.5	36
39.2	39
39.4	75

---

This entry pairs a crystal structure of Ac4Pm3Te8 with its calculated powder X-ray diffraction pattern. Radiation: λ = 1.5418 Å (Cu Kα). Structure: a structure optimized by DFT (GGA-PBE).

Atomic structure:
```
Ac4Pm3Te8
1.0
6.510 -6.512 0.000
6.510 6.512 0.000
-6.431 0.000 6.510
Ac Pm Te
4 3 8
Direct
0.000 0.000 0.000
0.000 0.500 0.000
0.500 0.000 0.000
0.500 0.500 0.500
0.000 0.000 0.500
0.000 0.500 0.500
0.500 0.000 0.500
0.244 0.756 0.500
0.253 0.253 0.518
0.253 0.253 0.988
0.259 0.741 0.000
0.741 0.259 0.000
0.747 0.747 0.012
0.747 0.747 0.482
0.756 0.244 0.500
```

Largest 12 diffraction maxima, low angle first, 5° ≤ 2θ ≤ 70°:
Position (°2θ)	I/Imax
11.8	6
22.6	6
27.4	100
38.9	13
39.1	51
39.4	12
48.2	14
48.6	14
56.5	13
63.6	6
63.9	24
64.3	6

---

This entry pairs a crystal structure of AcPmTe3 with its calculated powder X-ray diffraction pattern. Radiation: λ = 1.5418 Å (Cu Kα). Structure: a structure optimized by DFT (GGA-PBE).

Atomic structure:
```
AcPmTe3
1.0
4.608 0.000 0.000
0.000 7.727 0.000
0.000 0.000 10.126
Ac Pm Te
2 2 6
Direct
0.250 0.250 0.151
0.750 0.750 0.849
0.250 0.750 0.402
0.750 0.250 0.598
0.250 0.518 0.665
0.250 0.750 0.077
0.250 0.982 0.665
0.750 0.018 0.335
0.750 0.250 0.923
0.750 0.482 0.335
```

Largest 12 diffraction maxima, low angle first, 5° ≤ 2θ ≤ 70°:
Position (°2θ)	I/Imax
21.0	23
24.1	16
24.7	19
26.1	44
31.5	100
32.9	16
34.9	23
35.3	21
35.5	14
39.1	27
40.5	20
47.0	15

---

This entry pairs a crystal structure of AcPm5Te8 with its calculated powder X-ray diffraction pattern. Radiation: λ = 1.5418 Å (Cu Kα). Structure: a structure optimized by DFT (GGA-PBE).

Atomic structure:
```
AcPm5Te8
1.0
0.000 6.616 6.616
6.616 0.000 6.616
6.616 6.616 0.000
Ac Pm Te
1 5 8
Direct
0.000 0.000 0.000
0.378 0.378 0.378
0.378 0.378 0.866
0.378 0.866 0.378
0.750 0.750 0.750
0.866 0.378 0.378
0.138 0.138 0.138
0.138 0.138 0.586
0.138 0.586 0.138
0.145 0.618 0.618
0.586 0.138 0.138
0.618 0.145 0.618
0.618 0.618 0.145
0.618 0.618 0.618
```

Largest 12 diffraction maxima, low angle first, 5° ≤ 2θ ≤ 70°:
Position (°2θ)	I/Imax
19.0	25
22.3	64
27.0	51
35.2	44
38.5	100
47.6	13
53.2	17
55.6	16
60.6	13
62.8	14
67.5	13
69.6	30

---

This entry pairs a crystal structure of AcPm5Th2 with its calculated powder X-ray diffraction pattern. Radiation: λ = 1.5418 Å (Cu Kα). Structure: a structure optimized by DFT (GGA-PBE).

Atomic structure:
```
AcPm5Th2
1.0
-1.829 5.693 6.862
1.829 -5.693 6.862
1.829 5.693 -6.862
Ac Pm Th
1 5 2
Direct
0.000 0.000 0.000
0.139 0.367 0.773
0.406 0.633 0.773
0.500 0.000 0.500
0.594 0.367 0.227
0.861 0.633 0.227
0.243 0.743 0.500
0.757 0.257 0.500
```

Largest 12 diffraction maxima, low angle first, 5° ≤ 2θ ≤ 70°:
Position (°2θ)	I/Imax
28.7	32
29.8	60
30.4	100
31.3	41
31.4	43
34.0	16
36.5	20
45.0	26
55.3	14
55.6	21
59.5	30
60.1	15

---

This entry pairs a crystal structure of AcPm3Tl3 with its calculated powder X-ray diffraction pattern. Radiation: λ = 1.5418 Å (Cu Kα). Structure: a structure optimized by DFT (GGA-PBE).

Atomic structure:
```
AcPm3Tl3
1.0
9.731 0.000 0.000
0.000 9.731 0.000
0.000 0.000 9.731
Ac Pm Tl
4 12 12
Direct
0.072 0.428 0.572
0.428 0.572 0.072
0.572 0.072 0.428
0.928 0.928 0.928
0.080 0.580 0.920
0.180 0.180 0.180
0.180 0.820 0.320
0.320 0.180 0.820
0.320 0.820 0.680
0.420 0.420 0.420
0.580 0.920 0.080
0.680 0.320 0.820
0.680 0.680 0.680
0.820 0.320 0.180
0.820 0.680 0.320
0.920 0.080 0.580
0.002 0.261 0.887
0.113 0.502 0.239
0.239 0.113 0.502
0.261 0.887 0.002
0.387 0.498 0.739
0.498 0.739 0.387
0.502 0.239 0.113
0.613 0.998 0.761
0.739 0.387 0.498
0.761 0.613 0.998
0.887 0.002 0.261
0.998 0.761 0.613
```

Largest 12 diffraction maxima, low angle first, 5° ≤ 2θ ≤ 70°:
Position (°2θ)	I/Imax
22.4	8
29.0	100
34.5	67
41.5	16
43.6	11
45.7	14
47.7	20
58.5	29
60.1	12
61.8	15
65.0	4
66.6	6